# K4V2O9
Calculated XRD peak list, Cu Ka. Input: a PBE+U-relaxed structure.
No peak broadening, texture or thermal motion is included.

Atomic structure:
```
data_K4V2O9
_chemical_formula_sum 'K16 V8 O36'
_symmetry_space_group_name_H-M 'C m c m'
_symmetry_Int_Tables_number 63
_symmetry_space_group_name_Hall '-C 2c 2'
_cell_length_a 11.195
_cell_length_b 12.530
_cell_length_c 8.109
_cell_angle_alpha 90.00
_cell_angle_beta 90.00
_cell_angle_gamma 90.00
loop_
_atom_site_label
_atom_site_type_symbol
_atom_site_fract_x
_atom_site_fract_y
_atom_site_fract_z
K1 K 0.000 0.014 0.250
K2 K 0.000 0.465 0.750
K3 K 0.224 0.306 0.250
V1 V 0.000 0.226 0.524
O1 O 0.000 0.233 0.750
O2 O 0.000 0.352 0.055
O3 O 0.126 0.157 0.035
O4 O 0.232 0.072 0.250
```

The 10 most intense peaks (10° ≤ 2θ ≤ 90°), in order of rising 2θ:
two_theta, Rel. int.
14.1, 58
15.8, 52
26.2, 41
27.2, 54
30.6, 38
30.7, 100
32.0, 39
32.8, 18
44.7, 24
44.8, 23